No. 1
The following is a theoretical XRD peak list of V3SbP6O24. It was derived from a structure optimized by DFT (GGA+U), using a wavelength of 1.5418 Å.
Peak positions follow from Bragg's law for the DFT cell and can differ from measured ones.

Principal peaks in the range 2θ = 10–80°, in order of rising 2θ:
- 14.4°, intensity 55.5, (0 1 2)
- 20.2°, intensity 80.2, (1 0 4)
- 20.7°, intensity 44.5, (1 1 0)
- 24.1°, intensity 100.0, (1 1 3)
- 29.1°, intensity 59.0, (0 2 4)
- 32.2°, intensity 17.2, (2 1 1)
- 32.3°, intensity 38.7, (2 -1 6)
- 36.0°, intensity 16.5, (3 -1 4)
- 36.3°, intensity 18.4, (3 0 0)
- 53.3°, intensity 23.0, (3 -1 10)

Atomic structure:
```
data_V3SbP6O24
_chemical_formula_sum 'V9 Sb3 P18 O72'
_space_group_name_H-M_alt 'R 3'
_space_group_IT_number 146
_space_group_name_Hall 'R 3'
_cell_length_a 8.5760
_cell_length_b 8.5760
_cell_length_c 21.7458
_cell_angle_alpha 90.00
_cell_angle_beta 90.00
_cell_angle_gamma 120.00
loop_
_atom_site_label
_atom_site_fract_x
_atom_site_fract_y
_atom_site_fract_z
_atom_site_occupancy
V1 0.0000 0.0000 0.0000 1
V2 0.0000 0.0000 0.2166 1
V3 0.0000 0.0000 0.4988 1
Sb1 0.0000 0.0000 0.7155 1
P1 0.0022 0.2874 0.6063 1
P2 0.0026 0.7186 0.1082 1
O1 0.0240 0.1911 0.2655 1
O2 0.0254 0.8277 0.0499 1
O3 0.0307 0.1978 0.5508 1
O4 0.0318 0.8367 0.7716 1
O5 0.1615 0.4548 0.3330 1
O6 0.1656 0.6915 0.8327 1
O7 0.1681 0.4729 0.6147 1
O8 0.1680 0.6974 0.1148 1
```



No. 2
The following is a theoretical XRD peak list of TiMnH12O6F6. It was derived from a structure optimized by DFT (GGA+U), using a wavelength of 1.5418 Å.
Peak positions follow from Bragg's law for the DFT cell and can differ from measured ones.

Principal peaks in the range 2θ = 10–80°, in order of rising 2θ:
- 17.9°, intensity 100.0, (1 1 0)
- 20.8°, intensity 51.0, (0 1 2)
- 33.1°, intensity 64.4, (3 -2 2)
- 38.9°, intensity 6.2, (1 3 1)
- 42.1°, intensity 7.5, (4 -1 2)
- 46.1°, intensity 11.8, (0 4 2)
- 46.4°, intensity 20.6, (3 -1 4)
- 48.5°, intensity 7.3, (1 4 0)
- 49.8°, intensity 12.3, (5 -3 2)
- 53.6°, intensity 12.7, (4 -3 4)

Atomic structure:
```
data_TiMnH12O6F6
_chemical_formula_sum 'Ti3 Mn3 H36 O18 F18'
_space_group_name_H-M_alt 'R -3'
_space_group_IT_number 148
_space_group_name_Hall '-R 3'
_cell_length_a 9.9317
_cell_length_b 9.9317
_cell_length_c 9.8128
_cell_angle_alpha 90.00
_cell_angle_beta 90.00
_cell_angle_gamma 120.00
loop_
_atom_site_label
_atom_site_fract_x
_atom_site_fract_y
_atom_site_fract_z
_atom_site_occupancy
Ti1 0.0000 0.0000 0.0000 1
Mn1 0.0000 0.0000 0.5000 1
H1 0.0240 0.5252 0.2616 1
H2 0.0864 0.8859 0.7235 1
O1 0.0848 0.2089 0.6296 1
F1 0.0132 0.1611 0.1129 1
```



No. 3
The following is a theoretical XRD peak list of Mn3Co4P6H4O24. It was derived from a structure optimized by DFT (GGA+U), using a wavelength of 1.5418 Å.
Peak positions follow from Bragg's law for the DFT cell and can differ from measured ones.

Principal peaks in the range 2θ = 10–80°, in order of rising 2θ:
- 11.9°, intensity 13.9, (0 1 0)
- 18.0°, intensity 18.1, (-1 1 1)
- 20.0°, intensity 23.9, (1 -1 1)
- 27.6°, intensity 37.0, (2 0 -1)
- 28.7°, intensity 21.5, (2 -1 0)
- 29.3°, intensity 100.0, (0 2 1)
- 32.3°, intensity 20.0, (2 1 -2)
- 33.5°, intensity 15.3, (1 2 -3)
- 35.2°, intensity 17.7, (0 3 -2)
- 36.4°, intensity 12.8, (-2 1 3)

Atomic structure:
```
data_Mn3Co4P6H4O24
_chemical_formula_sum 'Mn3 Co4 P6 H4 O24'
_space_group_name_H-M_alt 'P -1'
_space_group_IT_number 2
_cell_length_a 6.6013
_cell_length_b 8.0451
_cell_length_c 9.6850
_cell_angle_alpha 104.61
_cell_angle_beta 108.97
_cell_angle_gamma 101.45
loop_
_space_group_symop_operation_xyz
'x,y,z'
'-x,-y,-z'
loop_
_atom_site_label
_atom_site_fract_x
_atom_site_fract_y
_atom_site_fract_z
_atom_site_occupancy
Mn1 0.0000 0.0000 0.0000 1
Mn2 0.2796 0.8107 0.2847 1
Co1 0.0540 0.7099 0.5162 1
Co2 0.3865 0.4567 0.1073 1
P1 0.0909 0.5831 0.8268 1
P2 0.2262 0.1494 0.7756 1
P3 0.4136 0.2387 0.3707 1
H1 0.1820 0.8785 0.8062 1
H2 0.3691 0.4185 0.5607 1
O1 0.0193 0.1742 0.6602 1
O2 0.0581 0.5430 0.6529 1
O3 0.1194 0.5305 0.1627 1
O4 0.1211 0.7874 0.8989 1
O5 0.2037 0.9390 0.7230 1
O6 0.2212 0.1927 0.9406 1
O7 0.2654 0.0588 0.2402 1
O8 0.2731 0.2978 0.4732 1
O9 0.3042 0.5380 0.9130 1
O10 0.3780 0.7854 0.5132 1
O11 0.4479 0.2489 0.7715 1
O12 0.4792 0.3909 0.3106 1
```



No. 4
The following is a theoretical XRD peak list of ZrNiO6F6. It was derived from a structure optimized by DFT (GGA+U), using a wavelength of 1.5418 Å.
Peak positions follow from Bragg's law for the DFT cell and can differ from measured ones.

Principal peaks in the range 2θ = 10–80°, in order of rising 2θ:
- 20.1°, intensity 100.0, (1 1 0)
- 22.6°, intensity 70.4, (0 1 2)
- 30.4°, intensity 17.2, (2 0 2)
- 32.4°, intensity 14.3, (3 -1 1)
- 36.7°, intensity 46.6, (3 -2 2)
- 46.2°, intensity 9.8, (0 2 4)
- 47.1°, intensity 9.4, (4 -1 2)
- 50.8°, intensity 29.7, (3 -1 4)
- 54.9°, intensity 18.0, (4 1 0)
- 59.3°, intensity 11.7, (1 3 4)

Atomic structure:
```
data_ZrNiO6F6
_chemical_formula_sum 'Zr3 Ni3 O18 F18'
_space_group_name_H-M_alt 'R -3'
_space_group_IT_number 148
_space_group_name_Hall '-R 3'
_cell_length_a 8.8465
_cell_length_b 8.8465
_cell_length_c 9.1635
_cell_angle_alpha 90.00
_cell_angle_beta 90.00
_cell_angle_gamma 120.00
loop_
_atom_site_label
_atom_site_fract_x
_atom_site_fract_y
_atom_site_fract_z
_atom_site_occupancy
Zr1 0.0000 0.0000 0.0000 1
Ni1 0.0000 0.0000 0.5000 1
O1 0.0083 0.8299 0.3897 1
F1 0.0530 0.8469 0.1331 1
```